Record 1
Diffraction record for Mo4C3. The PXRD pattern is computed, not measured: it uses a crystal structure in Alexandria, relaxed with PBE and Cu Ka.

a = 10.0472 Å, b = 10.0472 Å, c = 10.0472 Å
α = 17.52°, β = 17.52°, γ = 17.52°
Atoms (fractional coordinates):
Mo 0.1229 0.1229 0.1229
Mo 0.3738 0.3738 0.3738
Mo 0.6262 0.6262 0.6262
Mo 0.8771 0.8771 0.8771
C 0.2557 0.2557 0.2557
C 0.5000 0.5000 0.5000
C 0.7443 0.7443 0.7443

Most intense lines, 2θ = 10–80°, most intense first:
| 2theta | Rel. int. |
| --- | --- |
| 36.0 | 100.0 |
| 41.9 | 87.2 |
| 36.3 | 32.2 |
| 60.5 | 28.0 |
| 61.0 | 26.2 |
| 72.7 | 25.3 |
| 76.3 | 14.0 |
| 72.4 | 12.9 |
| 73.1 | 12.3 |
| 77.2 | 4.2 |



Record 2
Diffraction record for Mo3C4. The PXRD pattern is computed, not measured: it uses a crystal structure in Alexandria, relaxed with PBE and Cu Ka.

a = 4.2953 Å, b = 4.2953 Å, c = 4.2953 Å
α = 90.00°, β = 90.00°, γ = 90.00°
Atoms (fractional coordinates):
Mo 0.0000 0.0000 0.5000
Mo 0.0000 0.5000 0.0000
Mo 0.5000 0.0000 0.0000
C 0.0000 0.0000 0.0000
C 0.0000 0.5000 0.5000
C 0.5000 0.0000 0.5000
C 0.5000 0.5000 0.0000

Most intense lines, 2θ = 10–80°, most intense first:
| 2theta | Rel. int. |
| --- | --- |
| 36.2 | 100.0 |
| 42.1 | 84.9 |
| 61.0 | 52.4 |
| 20.7 | 48.5 |
| 29.4 | 40.0 |
| 73.1 | 39.9 |
| 47.3 | 20.6 |
| 76.9 | 17.7 |
| 52.2 | 15.3 |
| 65.2 | 9.7 |



Record 3
Diffraction record for Mo2C3N6. The PXRD pattern is computed, not measured: it uses a crystal structure in Alexandria, relaxed with PBE and Cu Ka.

a = 10.6729 Å, b = 10.6729 Å, c = 10.6729 Å
α = 27.78°, β = 27.78°, γ = 27.78°
Atoms (fractional coordinates):
Mo 0.1667 0.1667 0.1667
Mo 0.3333 0.3333 0.3333
Mo 0.6667 0.6667 0.6667
Mo 0.8333 0.8333 0.8333
C 0.0846 0.7500 0.4154
C 0.2500 0.5846 0.9154
C 0.4154 0.0846 0.7500
C 0.5846 0.9154 0.2500
C 0.7500 0.4154 0.0846
C 0.9154 0.2500 0.5846
N 0.0490 0.6940 0.3869
N 0.1131 0.8060 0.4510
N 0.1940 0.5490 0.8869
N 0.3060 0.6131 0.9510
N 0.3869 0.0490 0.6940
N 0.4510 0.1131 0.8060
N 0.5490 0.8869 0.1940
N 0.6131 0.9510 0.3060
N 0.6940 0.3869 0.0490
N 0.8060 0.4510 0.1131
N 0.8869 0.1940 0.5490
N 0.9510 0.3060 0.6131

Most intense lines, 2θ = 10–80°, most intense first:
| 2theta | Rel. int. |
| --- | --- |
| 39.3 | 100.0 |
| 17.3 | 68.8 |
| 20.8 | 59.1 |
| 50.3 | 49.1 |
| 23.1 | 46.3 |
| 35.0 | 40.7 |
| 65.7 | 31.9 |
| 62.8 | 20.9 |
| 30.8 | 19.6 |
| 74.0 | 16.9 |



Record 4
Diffraction record for Mo3C8S13N2. The PXRD pattern is computed, not measured: it uses a crystal structure in Alexandria, relaxed with PBE and Cu Ka.

a = 7.2418 Å, b = 9.5352 Å, c = 10.5217 Å
α = 63.50°, β = 87.70°, γ = 76.30°
Atoms (fractional coordinates):
Mo 0.0000 0.0000 0.0000
Mo 0.0245 0.1067 0.1978
Mo 0.9748 0.3235 0.9131
C 0.2478 0.6247 0.7734
C 0.2871 0.2885 0.4509
C 0.3047 0.6825 0.8781
C 0.3238 0.1609 0.4089
C 0.3490 0.7444 0.7232
C 0.4795 0.2616 0.5262
C 0.5057 0.1950 0.4152
C 0.5546 0.6530 0.7964
S 0.0171 0.3981 0.1079
S 0.0518 0.8161 0.2620
S 0.1693 0.7331 0.0034
S 0.2031 0.4745 0.7498
S 0.2372 0.0017 0.4240
S 0.2562 0.1043 0.0304
S 0.7447 0.2176 0.8436
S 0.7611 0.5988 0.7309
S 0.7671 0.3443 0.0948
S 0.7894 0.9665 0.1911
S 0.8863 0.8042 0.9470
S 0.9553 0.0614 0.4468
S 0.9885 0.2014 0.7441
N 0.4329 0.3729 0.3676
N 0.5061 0.6120 0.9299

Most intense lines, 2θ = 10–80°, most intense first:
| 2theta | Rel. int. |
| --- | --- |
| 12.6 | 100.0 |
| 10.6 | 95.9 |
| 15.2 | 42.2 |
| 14.4 | 31.4 |
| 15.0 | 19.9 |
| 16.3 | 18.2 |
| 17.9 | 17.2 |
| 37.9 | 12.3 |
| 17.2 | 11.2 |
| 29.2 | 11.1 |



Record 5
Diffraction record for Mo3C8Se13N2. The PXRD pattern is computed, not measured: it uses a crystal structure in Alexandria, relaxed with PBE and Cu Ka.

a = 10.9366 Å, b = 10.9366 Å, c = 7.3786 Å
α = 98.33°, β = 98.33°, γ = 125.68°
Atoms (fractional coordinates):
Mo 0.0000 0.0000 0.0000
Mo 0.6764 0.8203 0.9017
Mo 0.8203 0.6764 0.9017
C 0.1116 0.3299 0.3797
C 0.1396 0.4211 0.5766
C 0.1889 0.4998 0.3964
C 0.2633 0.5882 0.5997
C 0.3299 0.1116 0.3797
C 0.4211 0.1396 0.5766
C 0.4998 0.1889 0.3964
C 0.5882 0.2633 0.5997
Se 0.0211 0.8384 0.7306
Se 0.1408 0.8796 0.0534
Se 0.2133 0.2133 0.3196
Se 0.2747 0.2747 0.0378
Se 0.4280 0.8045 0.7525
Se 0.4758 0.8023 0.0682
Se 0.5122 0.5122 0.8358
Se 0.6277 0.6277 0.6046
Se 0.8023 0.4758 0.0682
Se 0.8045 0.4280 0.7525
Se 0.8347 0.8347 0.1992
Se 0.8384 0.0211 0.7306
Se 0.8796 0.1408 0.0534
N 0.0893 0.5129 0.5070
N 0.5129 0.0893 0.5070

Most intense lines, 2θ = 10–80°, most intense first:
| 2theta | Rel. int. |
| --- | --- |
| 13.9 | 100.0 |
| 12.7 | 73.7 |
| 10.4 | 57.6 |
| 27.5 | 30.3 |
| 37.2 | 23.9 |
| 45.7 | 23.5 |
| 24.7 | 17.4 |
| 44.6 | 17.3 |
| 38.6 | 15.2 |
| 29.2 | 14.5 |



Record 6
Diffraction record for MoWCN. The PXRD pattern is computed, not measured: it uses a crystal structure in Alexandria, relaxed with PBE and Cu Ka.

a = 2.8739 Å, b = 2.8809 Å, c = 10.0585 Å
α = 90.00°, β = 90.00°, γ = 90.00°
Atoms (fractional coordinates):
Mo 0.0000 0.0000 0.0000
Mo 0.5000 0.5000 0.5000
W 0.0000 0.5000 0.2498
W 0.5000 0.0000 0.7498
C 0.0000 0.5000 0.8291
C 0.5000 0.0000 0.3291
N 0.0000 0.0000 0.5794
N 0.5000 0.5000 0.0794

Most intense lines, 2θ = 10–80°, most intense first:
| 2theta | Rel. int. |
| --- | --- |
| 32.4 | 100.0 |
| 48.3 | 75.1 |
| 41.4 | 58.7 |
| 35.7 | 38.1 |
| 55.8 | 27.1 |
| 17.6 | 18.5 |
| 73.1 | 17.7 |
| 73.7 | 11.9 |
| 74.4 | 9.8 |
| 74.2 | 9.4 |